Computed powder diffraction line list
Compound: MnGaBr4
Radiation: Cu Kα
Structure: a GGA-PBE-relaxed structure
Neutral-atom scattering factors, no anomalous dispersion.

Peak list (6 most intense, 15 to 90 degrees two-theta, sorted by position)
2theta, I/Imax
15.95, 38
25.22, 100
40.06, 22
42.59, 39
47.93, 29
52.29, 13

Structural model:
a = 7.261 Å, b = 7.261 Å, c = 7.261 Å
α = 128.00°, β = 128.00°, γ = 76.63°
Positions (direct):
Mn (0.000, 0.000, 0.000)
Ga (0.750, 0.250, 0.500)
Br (0.097, 0.117, 0.458)
Br (0.361, 0.903, 0.020)
Br (0.659, 0.639, 0.542)
Br (0.883, 0.341, 0.980)

=====

Computed powder diffraction line list
Compound: Tm5In2Ag2
Radiation: Cu Kα
Structure: a GGA-PBE-relaxed structure
Neutral-atom scattering factors, no anomalous dispersion.

Peak list (6 most intense, 15 to 90 degrees two-theta, sorted by position)
2theta, I/Imax
31.09, 74
32.08, 89
32.42, 42
33.55, 68
34.08, 100
39.43, 37

Structural model:
a = 8.846 Å, b = 8.846 Å, c = 7.195 Å
α = 90.00°, β = 90.00°, γ = 58.32°
Positions (direct):
Tm (0.000, 0.000, 0.000)
Tm (0.054, 0.682, 0.659)
Tm (0.182, 0.554, 0.159)
Tm (0.318, 0.946, 0.659)
Tm (0.446, 0.818, 0.159)
Tm (0.500, 0.500, 0.500)
Tm (0.554, 0.182, 0.841)
Tm (0.682, 0.054, 0.341)
Tm (0.818, 0.446, 0.841)
Tm (0.946, 0.318, 0.341)
In (0.211, 0.211, 0.000)
In (0.289, 0.289, 0.500)
In (0.711, 0.711, 0.500)
In (0.789, 0.789, 0.000)
Ag (0.127, 0.873, 0.373)
Ag (0.373, 0.627, 0.873)
Ag (0.627, 0.373, 0.127)
Ag (0.873, 0.127, 0.627)

=====

Computed powder diffraction line list
Compound: Cs2K3Rb4
Radiation: Cu Kα
Structure: a GGA-PBE-relaxed structure
Neutral-atom scattering factors, no anomalous dispersion.

Peak list (6 most intense, 15 to 90 degrees two-theta, sorted by position)
2theta, I/Imax
21.52, 100
21.62, 49
22.57, 89
26.44, 30
26.52, 31
34.37, 30

Structural model:
a = 10.989 Å, b = 10.989 Å, c = 13.680 Å
α = 96.91°, β = 96.91°, γ = 97.44°
Positions (direct):
Cs (0.007, 0.764, 0.579)
Cs (0.236, 0.993, 0.921)
Cs (0.764, 0.007, 0.079)
Cs (0.993, 0.236, 0.421)
K (0.136, 0.864, 0.250)
K (0.217, 0.453, 0.754)
K (0.453, 0.217, 0.254)
K (0.547, 0.783, 0.746)
K (0.783, 0.547, 0.246)
K (0.864, 0.136, 0.750)
Rb (0.096, 0.362, 0.088)
Rb (0.329, 0.574, 0.420)
Rb (0.362, 0.096, 0.588)
Rb (0.426, 0.671, 0.080)
Rb (0.574, 0.329, 0.920)
Rb (0.638, 0.904, 0.412)
Rb (0.671, 0.426, 0.580)
Rb (0.904, 0.638, 0.912)